[1]
Simulated XRD peak list of Pr2Sn2S2O5 for CuKα, from a structure optimized by DFT (GGA-PBE).
Kinematic intensities with the Lorentz-polarization factor, no thermal factor.

Structural model:
```
data_Pr2Sn2S2O5
_chemical_formula_sum 'Pr4 Sn4 S4 O10'
_space_group_name_H-M_alt 'I 4/m m m'
_space_group_IT_number 139
_space_group_name_Hall '-I 4 2'
_cell_length_a 3.9770
_cell_length_b 3.9770
_cell_length_c 24.1003
_cell_angle_alpha 90.00
_cell_angle_beta 90.00
_cell_angle_gamma 90.00
loop_
_atom_site_label
_atom_site_type_symbol
_atom_site_fract_x
_atom_site_fract_y
_atom_site_fract_z
Pr1 Pr 0.0000 0.0000 0.1717
Sn1 Sn 0.0000 0.0000 0.4199
S1 S 0.0000 0.0000 0.2949
O1 O 0.0000 0.0000 0.5000
O2 O 0.0000 0.5000 0.1056
```

Peak list (10 most intense, 2θ = 10–90°, by angle)
2θ (°), I/Imax, hkl
14.70, 57, 0 0 4
24.98, 87, 1 0 3
29.11, 72, 1 0 5
31.82, 100, 1 1 0
34.45, 69, 1 0 7
40.62, 27, 1 0 9
44.05, 47, 1 1 8
45.62, 56, 2 0 0
56.29, 29, 1 1 12
58.40, 31, 2 1 7

=====

[2]
Simulated XRD peak list of Pr3Sb5O12 for CuKα, from a structure optimized by DFT (GGA-PBE).
Kinematic intensities with the Lorentz-polarization factor, no thermal factor.

Structural model:
```
data_Pr3Sb5O12
_chemical_formula_sum 'Pr12 Sb20 O48'
_space_group_name_H-M_alt 'I -4 3 m'
_space_group_IT_number 217
_space_group_name_Hall 'I -4 2 3'
_cell_length_a 11.0003
_cell_length_b 11.0003
_cell_length_c 11.0003
_cell_angle_alpha 90.00
_cell_angle_beta 90.00
_cell_angle_gamma 90.00
loop_
_atom_site_label
_atom_site_type_symbol
_atom_site_fract_x
_atom_site_fract_y
_atom_site_fract_z
Pr1 Pr 0.0000 0.2500 0.5000
Sb1 Sb 0.0000 0.0000 0.2740
Sb2 Sb 0.2447 0.2447 0.7553
O1 O 0.1000 0.1000 0.6145
O2 O 0.1371 0.1371 0.3336
```

Peak list (10 most intense, 2θ = 10–90°, by angle)
2θ (°), I/Imax, hkl
11.38, 9, 1 1 0
28.10, 100, 2 2 2
32.56, 35, 4 0 0
46.71, 44, 4 4 0
55.40, 40, 6 2 2
58.10, 9, 4 4 4
68.20, 6, 8 0 0
75.32, 15, 6 6 2
77.63, 12, 8 4 0
86.73, 11, 8 4 4

=====

[3]
Simulated XRD peak list of Pr2ScO2 for CuKα, from a structure optimized by DFT (GGA-PBE).
Kinematic intensities with the Lorentz-polarization factor, no thermal factor.

Structural model:
```
data_Pr2ScO2
_chemical_formula_sum 'Pr4 Sc2 O4'
_space_group_name_H-M_alt 'P b a m'
_space_group_IT_number 55
_cell_length_a 6.3999
_cell_length_b 9.6697
_cell_length_c 3.1032
_cell_angle_alpha 90.00
_cell_angle_beta 90.00
_cell_angle_gamma 90.00
loop_
_space_group_symop_operation_xyz
'x,y,z'
'-x,-y,-z'
'-x,-y,z'
'x,y,-z'
'x+1/2,-y+1/2,-z'
'-x+1/2,y+1/2,z'
'-x+1/2,y+1/2,-z'
'x+1/2,-y+1/2,z'
loop_
_atom_site_label
_atom_site_type_symbol
_atom_site_fract_x
_atom_site_fract_y
_atom_site_fract_z
Pr1 Pr 0.0820 0.1747 0.0000
Sc1 Sc 0.0000 0.5000 0.0000
O1 O 0.0981 0.6445 0.5000
```

Peak list (10 most intense, 2θ = 10–90°, by angle)
2θ (°), I/Imax, hkl
18.35, 37, 0 2 0
23.05, 48, 1 2 0
27.88, 34, 2 0 0
28.77, 66, 0 0 1
29.40, 52, 2 1 0
31.07, 87, 1 3 0
41.60, 65, 2 1 1
42.85, 100, 1 3 1
46.53, 27, 3 2 0
68.74, 21, 1 3 2

=====

[4]
Simulated XRD peak list of Pr4Sc4O11 for CuKα, from a structure optimized by DFT (GGA-PBE).
Kinematic intensities with the Lorentz-polarization factor, no thermal factor.

Structural model:
```
data_Pr4Sc4O11
_chemical_formula_sum 'Pr4 Sc4 O11'
_space_group_name_H-M_alt 'P 1 m 1'
_space_group_IT_number 6
_cell_length_a 5.6104
_cell_length_b 8.0175
_cell_length_c 5.7904
_cell_angle_alpha 90.00
_cell_angle_beta 90.10
_cell_angle_gamma 90.00
loop_
_space_group_symop_operation_xyz
'x,y,z'
'x,-y,z'
loop_
_atom_site_label
_atom_site_type_symbol
_atom_site_fract_x
_atom_site_fract_y
_atom_site_fract_z
Pr1 Pr 0.0000 0.0000 0.0000
Pr2 Pr 0.0217 0.5000 0.0959
Pr3 Pr 0.4876 0.5000 0.6059
Pr4 Pr 0.5267 0.0000 0.5013
Sc1 Sc 0.0139 0.2494 0.5518
Sc2 Sc 0.5116 0.2506 0.0536
O1 O 0.1181 0.0000 0.5920
O2 O 0.2138 0.3013 0.8511
O3 O 0.3104 0.3036 0.3513
O4 O 0.4095 0.0000 0.0921
O5 O 0.6132 0.5000 0.0167
O6 O 0.7143 0.1961 0.7538
O7 O 0.8138 0.1980 0.2558
```

Peak list (10 most intense, 2θ = 10–90°, by angle)
2θ (°), I/Imax, hkl
22.06, 29, 1 0 1
22.18, 14, 0 2 0
30.89, 19, 0 0 2
31.48, 100, 1 2 1
31.90, 22, 2 0 0
39.20, 14, 2 2 0
45.00, 21, 2 0 2
45.24, 14, 0 4 0
51.34, 17, 1 1 -3
56.58, 22, 3 2 1

=====

[5]
Simulated XRD peak list of Pr3SmSe3O4 for CuKα, from a structure optimized by DFT (GGA-PBE).
Kinematic intensities with the Lorentz-polarization factor, no thermal factor.

Structural model:
```
data_Pr3SmSe3O4
_chemical_formula_sum 'Pr6 Sm2 Se6 O8'
_space_group_name_H-M_alt 'A m m 2'
_space_group_IT_number 38
_cell_length_a 8.4668
_cell_length_b 4.0203
_cell_length_c 12.9941
_cell_angle_alpha 90.00
_cell_angle_beta 90.00
_cell_angle_gamma 90.00
loop_
_space_group_symop_operation_xyz
'x,y,z'
'-x,-y,z'
'-x,y,z'
'x,-y,z'
'x,y+1/2,z+1/2'
'-x,-y+1/2,z+1/2'
'-x,y+1/2,z+1/2'
'x,-y+1/2,z+1/2'
loop_
_atom_site_label
_atom_site_type_symbol
_atom_site_fract_x
_atom_site_fract_y
_atom_site_fract_z
Pr1 Pr 0.0000 0.0000 0.0000
Pr2 Pr 0.2386 0.0000 0.6851
Sm1 Sm 0.5000 0.0000 0.0192
Se1 Se 0.0000 0.0000 0.3127
Se2 Se 0.3519 0.0000 0.3594
O1 O 0.0000 0.0000 0.5891
O2 O 0.2473 0.0000 0.0878
O3 O 0.5000 0.0000 0.6137
```

Peak list (10 most intense, 2θ = 10–90°, by angle)
2θ (°), I/Imax, hkl
25.11, 54, 2 0 2
30.33, 100, 0 1 3
31.45, 55, 2 1 1
34.81, 29, 2 0 4
41.71, 14, 0 0 6
45.09, 28, 0 2 0
46.83, 22, 2 1 5
52.31, 15, 2 2 2
53.29, 17, 4 1 3
58.99, 15, 2 1 7

=====

[6]
Simulated XRD peak list of Pr2Sn2Se2O5 for CuKα, from a structure optimized by DFT (GGA-PBE).
Kinematic intensities with the Lorentz-polarization factor, no thermal factor.

Structural model:
```
data_Pr2Sn2Se2O5
_chemical_formula_sum 'Pr4 Sn4 Se4 O10'
_space_group_name_H-M_alt 'C 1 2/m 1'
_space_group_IT_number 12
_cell_length_a 5.6936
_cell_length_b 5.6948
_cell_length_c 12.6587
_cell_angle_alpha 90.00
_cell_angle_beta 102.95
_cell_angle_gamma 90.00
loop_
_space_group_symop_operation_xyz
'x,y,z'
'-x,-y,-z'
'-x,y,-z'
'x,-y,z'
'x+1/2,y+1/2,z'
'-x+1/2,-y+1/2,-z'
'-x+1/2,y+1/2,-z'
'x+1/2,-y+1/2,z'
loop_
_atom_site_label
_atom_site_type_symbol
_atom_site_fract_x
_atom_site_fract_y
_atom_site_fract_z
Pr1 Pr 0.1659 0.0000 0.3308
Sn1 Sn 0.0792 0.5000 0.1564
Se1 Se 0.2059 0.5000 0.4111
O1 O 0.0000 0.5000 0.0000
O2 O 0.1470 0.2500 0.7955
```

Peak list (10 most intense, 2θ = 10–90°, by angle)
2θ (°), I/Imax, hkl
14.36, 34, 0 0 2
24.62, 35, 1 1 -2
31.42, 91, 0 2 0
33.80, 100, 1 1 -4
39.78, 25, 1 1 4
43.25, 31, 2 0 -5
45.03, 49, 2 2 -1
57.47, 45, 3 1 -5
60.83, 20, 1 1 -8
78.81, 19, 3 1 -9

=====

[7]
Simulated XRD peak list of PrSiO3 for CuKα, from a structure optimized by DFT (GGA-PBE).
Kinematic intensities with the Lorentz-polarization factor, no thermal factor.

Structural model:
```
data_PrSiO3
_chemical_formula_sum 'Pr2 Si2 O6'
_space_group_name_H-M_alt 'P 1'
_space_group_IT_number 1
_cell_length_a 4.7640
_cell_length_b 5.3830
_cell_length_c 5.6051
_cell_angle_alpha 69.76
_cell_angle_beta 67.74
_cell_angle_gamma 87.17
loop_
_space_group_symop_operation_xyz
'x,y,z'
loop_
_atom_site_label
_atom_site_type_symbol
_atom_site_fract_x
_atom_site_fract_y
_atom_site_fract_z
Pr1 Pr 0.0000 0.0000 0.0000
Pr2 Pr 0.4359 0.4760 0.0567
Si1 Si 0.1877 0.7839 0.5183
Si2 Si 0.6673 0.1749 0.4927
O1 O 0.0027 0.0749 0.5312
O2 O 0.0273 0.6283 0.3769
O3 O 0.4500 0.8661 0.6529
O4 O 0.4575 0.3148 0.7124
O5 O 0.4603 0.9313 0.1795
O6 O 0.9740 0.5961 0.8606
```

Peak list (10 most intense, 2θ = 10–90°, by angle)
2θ (°), I/Imax, hkl
18.29, 100, 0 0 1
24.74, 59, 1 1 1
25.65, 46, 1 -1 0
28.22, 88, 1 1 0
30.74, 87, 1 -1 1
32.61, 59, -1 1 1
33.45, 61, 1 1 2
33.86, 61, 0 2 1
37.06, 45, 0 0 2
41.13, 47, 2 0 0

=====

[8]
Simulated XRD peak list of Pr2Si2O7 for CuKα, from a structure optimized by DFT (GGA-PBE).
Kinematic intensities with the Lorentz-polarization factor, no thermal factor.

Structural model:
```
data_Pr2Si2O7
_chemical_formula_sum 'Pr8 Si8 O28'
_space_group_name_H-M_alt 'P 1 21/c 1'
_space_group_IT_number 14
_cell_length_a 5.3963
_cell_length_b 8.6628
_cell_length_c 14.0573
_cell_angle_alpha 90.00
_cell_angle_beta 112.39
_cell_angle_gamma 90.00
loop_
_space_group_symop_operation_xyz
'x,y,z'
'-x,-y,-z'
'-x,y+1/2,-z+1/2'
'x,-y+1/2,z+1/2'
loop_
_atom_site_label
_atom_site_type_symbol
_atom_site_fract_x
_atom_site_fract_y
_atom_site_fract_z
Pr1 Pr 0.0197 0.1913 0.2697
Pr2 Pr 0.3478 0.1042 0.5893
Si1 Si 0.2970 0.7485 0.0253
Si2 Si 0.4074 0.5027 0.6782
O1 O 0.0728 0.6562 0.0565
O2 O 0.2407 0.5852 0.7397
O3 O 0.2418 0.7370 0.9042
O4 O 0.2726 0.0271 0.7521
O5 O 0.3194 0.1764 0.1743
O6 O 0.3319 0.5718 0.5623
O7 O 0.4241 0.1458 0.4203
```

Peak list (10 most intense, 2θ = 10–90°, by angle)
2θ (°), I/Imax, hkl
12.28, 35, 0 1 1
26.38, 100, 1 0 2
27.28, 32, 1 2 -2
28.35, 12, 1 1 2
29.15, 21, 0 2 3
33.20, 19, 2 0 -2
33.83, 14, 1 1 -5
44.71, 13, 2 2 1
44.82, 19, 2 2 -5
55.25, 14, 3 0 0

=====

[9]
Simulated XRD peak list of PrTa7O19 for CuKα, from a structure optimized by DFT (GGA-PBE).
Kinematic intensities with the Lorentz-polarization factor, no thermal factor.

Structural model:
```
data_PrTa7O19
_chemical_formula_sum 'Pr2 Ta14 O38'
_space_group_name_H-M_alt 'P -6 c 2'
_space_group_IT_number 188
_space_group_name_Hall 'P -6c 2'
_cell_length_a 6.2318
_cell_length_b 6.2318
_cell_length_c 19.9917
_cell_angle_alpha 90.00
_cell_angle_beta 90.00
_cell_angle_gamma 120.00
loop_
_atom_site_label
_atom_site_type_symbol
_atom_site_fract_x
_atom_site_fract_y
_atom_site_fract_z
Pr1 Pr 0.0000 0.0000 0.0000
Ta1 Ta 0.0276 0.3337 0.1559
Ta2 Ta 0.3333 0.6667 0.0000
O1 O 0.0000 0.0000 0.1300
O2 O 0.0416 0.2843 0.2500
O3 O 0.0925 0.3862 0.0566
O4 O 0.3333 0.6667 0.1691
O5 O 0.4187 0.0855 0.6535
```

Peak list (10 most intense, 2θ = 10–90°, by angle)
2θ (°), I/Imax, hkl
16.42, 31, 1 0 0
17.75, 25, 0 0 4
26.76, 64, 0 0 6
29.00, 100, 1 1 1
30.04, 41, 1 1 2
33.90, 49, 1 1 4
36.56, 51, 1 1 5
50.75, 39, 3 0 0
54.54, 23, 1 1 10
58.29, 39, 3 0 6

=====

[10]
Simulated XRD peak list of PrTlTeO for CuKα, from a structure optimized by DFT (GGA-PBE).
Kinematic intensities with the Lorentz-polarization factor, no thermal factor.

Structural model:
```
data_PrTlTeO
_chemical_formula_sum 'Pr2 Tl2 Te2 O2'
_space_group_name_H-M_alt 'P m c 21'
_space_group_IT_number 26
_cell_length_a 5.1201
_cell_length_b 8.1162
_cell_length_c 6.9434
_cell_angle_alpha 90.00
_cell_angle_beta 90.00
_cell_angle_gamma 90.00
loop_
_space_group_symop_operation_xyz
'x,y,z'
'-x,-y,z+1/2'
'-x,y,z'
'x,-y,z+1/2'
loop_
_atom_site_label
_atom_site_type_symbol
_atom_site_fract_x
_atom_site_fract_y
_atom_site_fract_z
Pr1 Pr 0.0000 0.1300 0.0000
Tl1 Tl 0.5000 0.2717 0.3970
Te1 Te 0.5000 0.3200 0.8762
O1 O 0.0000 0.0890 0.3148
```

Peak list (10 most intense, 2θ = 10–90°, by angle)
2θ (°), I/Imax, hkl
20.51, 87, 1 1 0
21.90, 73, 0 2 0
24.22, 100, 1 1 1
25.66, 97, 0 0 2
28.06, 79, 1 2 0
31.13, 81, 1 0 2
33.98, 47, 0 2 2
35.05, 70, 2 0 0
37.60, 48, 1 3 0
38.38, 70, 1 2 2

=====

[11]
Simulated XRD peak list of PrY2O3 for CuKα, from a structure optimized by DFT (GGA-PBE).
Kinematic intensities with the Lorentz-polarization factor, no thermal factor.

Structural model:
```
data_PrY2O3
_chemical_formula_sum 'Pr1 Y2 O3'
_space_group_name_H-M_alt 'P -3 m 1'
_space_group_IT_number 164
_space_group_name_Hall '-P 3 2"'
_cell_length_a 3.4564
_cell_length_b 3.4564
_cell_length_c 8.5685
_cell_angle_alpha 90.00
_cell_angle_beta 90.00
_cell_angle_gamma 120.00
loop_
_atom_site_label
_atom_site_type_symbol
_atom_site_fract_x
_atom_site_fract_y
_atom_site_fract_z
Pr1 Pr 0.0000 0.0000 0.0000
Y1 Y 0.3333 0.6667 0.6643
O1 O 0.0000 0.0000 0.5000
O2 O 0.3333 0.6667 0.1987
```

Peak list (10 most intense, 2θ = 10–90°, by angle)
2θ (°), I/Imax, hkl
31.32, 28, 0 0 3
31.66, 82, 1 0 1
36.62, 100, 0 1 2
52.53, 32, 1 0 4
52.98, 32, 1 1 0
62.44, 13, 0 1 5
62.85, 24, 1 1 3
66.13, 16, 2 0 2
88.90, 13, 1 1 6
89.62, 14, 1 2 2